# K2Ag2OsSe4
Theoretical PXRD pattern, Cu Kα (weighted mean of Kα1 and Kα2). Input: a cell relaxed with PBE.
Neutral-atom scattering factors, no anomalous dispersion.

Crystal structure
Cell lengths 7.2612, 6.0486, 12.4874 Å; angles 90.00, 115.10, 90.00 degrees
Element x y z (fractional)
K 0.0000 0.0000 0.0000
K 0.0000 0.0000 0.5000
K 0.0000 0.4732 0.2500
K 0.0000 0.5268 0.7500
Ag 0.4993 0.2490 0.4741
Ag 0.4993 0.7510 0.9741
Ag 0.5007 0.2490 0.0259
Ag 0.5007 0.7510 0.5259
Os 0.5000 0.2483 0.7500
Os 0.5000 0.7517 0.2500
Se 0.2758 0.0451 0.8080
Se 0.2758 0.9549 0.3080
Se 0.2791 0.4593 0.5831
Se 0.2791 0.5407 0.0831
Se 0.7209 0.4593 0.9169
Se 0.7209 0.5407 0.4169
Se 0.7242 0.0451 0.6920
Se 0.7242 0.9549 0.1920

Peak list (10 most intense, 10° ≤ 2θ ≤ 90°, by angle)
two_theta, d/Å, I (rel.)
13.5, 6.575, 100
16.6, 5.334, 36
19.2, 4.619, 21
28.9, 3.092, 30
29.0, 3.079, 27
32.6, 2.748, 33
40.0, 2.256, 19
40.5, 2.226, 32
41.6, 2.172, 42
51.5, 1.776, 24

# Ta16Ni13
Theoretical PXRD pattern, Cu Kα (weighted mean of Kα1 and Kα2). Input: a cell relaxed with PBE.
Neutral-atom scattering factors, no anomalous dispersion.

Crystal structure
Cell lengths 8.2639, 8.2639, 8.2639 Å; angles 109.47, 109.47, 109.47 degrees
Element x y z (fractional)
Ta 0.0000 0.0000 0.6911
Ta 0.0000 0.4008 0.6885
Ta 0.0000 0.6885 0.4008
Ta 0.0000 0.6911 0.0000
Ta 0.2877 0.5992 0.5992
Ta 0.3089 0.3089 0.3089
Ta 0.3115 0.3115 0.7123
Ta 0.3115 0.7123 0.3115
Ta 0.4008 0.0000 0.6885
Ta 0.4008 0.6885 0.0000
Ta 0.5992 0.2877 0.5992
Ta 0.5992 0.5992 0.2877
Ta 0.6885 0.0000 0.4008
Ta 0.6885 0.4008 0.0000
Ta 0.6911 0.0000 0.0000
Ta 0.7123 0.3115 0.3115
Ni 0.0000 0.0000 0.0000
Ni 0.0000 0.1883 0.3716
Ni 0.0000 0.3716 0.1883
Ni 0.1834 0.8117 0.8117
Ni 0.1883 0.0000 0.3716
Ni 0.1883 0.3716 0.0000
Ni 0.3716 0.0000 0.1883
Ni 0.3716 0.1883 0.0000
Ni 0.6284 0.6284 0.8166
Ni 0.6284 0.8166 0.6284
Ni 0.8117 0.1834 0.8117
Ni 0.8117 0.8117 0.1834
Ni 0.8166 0.6284 0.6284

Peak list (10 most intense, 10° ≤ 2θ ≤ 90°, by angle)
two_theta, d/Å, I (rel.)
22.8, 3.896, 12
35.2, 2.550, 12
37.7, 2.386, 16
40.1, 2.249, 100
44.5, 2.034, 13
46.6, 1.948, 10
48.7, 1.871, 15
72.8, 1.299, 21
74.4, 1.275, 9
75.9, 1.253, 14

# Nd6Fe13Au
Theoretical PXRD pattern, Cu Kα (weighted mean of Kα1 and Kα2). Input: a cell relaxed with PBE.
Neutral-atom scattering factors, no anomalous dispersion.

Crystal structure
Cell lengths 11.5480, 11.5480, 11.5480 Å; angles 134.13, 134.13, 66.88 degrees
Element x y z (fractional)
Nd 0.0432 0.5432 0.1931
Nd 0.1470 0.1470 0.0000
Nd 0.1498 0.9568 0.5000
Nd 0.3502 0.8502 0.8069
Nd 0.3530 0.3530 0.0000
Nd 0.4568 0.6498 0.5000
Nd 0.5432 0.3502 0.5000
Nd 0.6470 0.6470 0.0000
Nd 0.6498 0.1498 0.1931
Nd 0.8502 0.0432 0.5000
Nd 0.8530 0.8530 0.0000
Nd 0.9568 0.4568 0.8069
Fe 0.0000 0.5000 0.5000
Fe 0.0078 0.2752 0.5000
Fe 0.0597 0.2532 0.3129
Fe 0.1250 0.6250 0.8703
Fe 0.2248 0.4922 0.5000
Fe 0.2453 0.7453 0.8703
Fe 0.2468 0.4403 0.6871
Fe 0.2532 0.9403 0.1935
Fe 0.2547 0.1250 0.5000
Fe 0.2752 0.7752 0.2674
Fe 0.3750 0.2453 0.5000
Fe 0.4403 0.7532 0.1935
Fe 0.4922 0.9922 0.2674
Fe 0.5000 0.0000 0.5000
Fe 0.5078 0.0078 0.7326
Fe 0.5597 0.2468 0.8065
Fe 0.6250 0.7547 0.5000
Fe 0.7248 0.2248 0.7326
Fe 0.7453 0.8750 0.5000
Fe 0.7468 0.0597 0.8065
Fe 0.7532 0.5597 0.3129
Fe 0.7547 0.2547 0.1297
Fe 0.7752 0.5078 0.5000
Fe 0.8750 0.3750 0.1297
Fe 0.9403 0.7468 0.6871
Fe 0.9922 0.7248 0.5000
Au 0.0000 0.0000 0.0000
Au 0.5000 0.5000 0.0000

Peak list (10 most intense, 10° ≤ 2θ ≤ 90°, by angle)
two_theta, d/Å, I (rel.)
26.1, 3.411, 37
28.0, 3.182, 23
31.4, 2.846, 100
32.2, 2.784, 45
39.7, 2.272, 36
41.6, 2.169, 20
42.6, 2.124, 29
45.0, 2.012, 24
53.8, 1.705, 19
57.9, 1.592, 28

# Ta3TlN2
Theoretical PXRD pattern, Cu Kα (weighted mean of Kα1 and Kα2). Input: a cell relaxed with PBE.
Neutral-atom scattering factors, no anomalous dispersion.

Crystal structure
Cell lengths 3.1409, 3.1409, 19.6925 Å; angles 90.00, 90.00, 120.00 degrees
Element x y z (fractional)
Ta 0.0000 0.0000 0.0000
Ta 0.0000 0.0000 0.5000
Ta 0.3333 0.6667 0.1255
Ta 0.3333 0.6667 0.3745
Ta 0.6667 0.3333 0.6255
Ta 0.6667 0.3333 0.8745
Tl 0.0000 0.0000 0.2500
Tl 0.0000 0.0000 0.7500
N 0.3333 0.6667 0.5625
N 0.3333 0.6667 0.9375
N 0.6667 0.3333 0.0625
N 0.6667 0.3333 0.4375

Peak list (10 most intense, 10° ≤ 2θ ≤ 90°, by angle)
two_theta, d/Å, I (rel.)
33.3, 2.695, 20
35.7, 2.513, 14
36.5, 2.462, 30
37.8, 2.381, 100
40.3, 2.238, 16
46.4, 1.955, 9
58.8, 1.570, 26
66.5, 1.405, 19
71.2, 1.324, 29
72.0, 1.311, 15

# TbDyBrNCl2
Theoretical PXRD pattern, Cu Kα (weighted mean of Kα1 and Kα2). Input: a cell relaxed with PBE.
Neutral-atom scattering factors, no anomalous dispersion.

Crystal structure
Cell lengths 9.1722, 9.1722, 11.3864 Å; angles 124.72, 124.72, 24.22 degrees
Element x y z (fractional)
Tb 0.1404 0.1404 0.2907
Tb 0.8596 0.8596 0.7093
Dy 0.4253 0.4253 0.0431
Dy 0.5747 0.5747 0.9569
Br 0.2213 0.2213 0.1214
Br 0.7787 0.7787 0.8786
N 0.4225 0.4225 0.8447
N 0.5775 0.5775 0.1553
Cl 0.0318 0.0318 0.7552
Cl 0.3290 0.3290 0.4954
Cl 0.6710 0.6710 0.5046
Cl 0.9682 0.9682 0.2448

Peak list (10 most intense, 10° ≤ 2θ ≤ 90°, by angle)
two_theta, d/Å, I (rel.)
10.2, 8.695, 100
24.7, 3.610, 18
27.1, 3.287, 55
28.5, 3.136, 20
31.5, 2.841, 22
32.2, 2.782, 22
33.1, 2.709, 33
34.2, 2.622, 21
36.0, 2.494, 18
47.4, 1.917, 14

# ErHgSeO
Theoretical PXRD pattern, Cu Kα (weighted mean of Kα1 and Kα2). Input: a cell relaxed with PBE.
Neutral-atom scattering factors, no anomalous dispersion.

Crystal structure
Cell lengths 5.6445, 5.6406, 13.0326 Å; angles 90.00, 91.86, 90.00 degrees
Element x y z (fractional)
Er 0.0032 0.0000 0.0783
Er 0.4949 0.0017 0.9204
Er 0.5051 0.5017 0.0796
Er 0.9968 0.5000 0.9217
Hg 0.1295 0.2740 0.4963
Hg 0.4975 0.0199 0.2627
Hg 0.5025 0.5199 0.7373
Hg 0.8705 0.7740 0.5037
Se 0.1865 0.3320 0.2396
Se 0.1945 0.2078 0.7539
Se 0.8055 0.7078 0.2461
Se 0.8135 0.8320 0.7604
O 0.2499 0.7498 0.9999
O 0.2545 0.2481 0.9998
O 0.7455 0.7481 0.0002
O 0.7501 0.2498 0.0001

Peak list (10 most intense, 10° ≤ 2θ ≤ 90°, by angle)
two_theta, d/Å, I (rel.)
22.3, 3.989, 52
25.9, 3.437, 52
26.5, 3.367, 39
27.4, 3.256, 40
30.1, 2.972, 94
30.8, 2.904, 100
32.5, 2.756, 47
35.6, 2.523, 47
36.0, 2.493, 40
45.5, 1.994, 43

# DyHo2Al5
Theoretical PXRD pattern, Cu Kα (weighted mean of Kα1 and Kα2). Input: a cell relaxed with PBE.
Neutral-atom scattering factors, no anomalous dispersion.

Crystal structure
Cell lengths 4.8165, 6.3548, 6.3548 Å; angles 62.90, 90.00, 90.00 degrees
Element x y z (fractional)
Dy 0.0000 0.0000 0.0000
Ho 0.0000 0.4901 0.4901
Ho 0.5000 0.1902 0.1902
Al 0.0000 0.5360 0.9666
Al 0.0000 0.9666 0.5360
Al 0.5000 0.1456 0.6843
Al 0.5000 0.6843 0.1456
Al 0.5000 0.6914 0.6914

Peak list (10 most intense, 10° ≤ 2θ ≤ 90°, by angle)
two_theta, d/Å, I (rel.)
15.7, 5.657, 21
24.3, 3.667, 17
24.7, 3.601, 67
26.9, 3.316, 29
31.6, 2.829, 16
33.0, 2.711, 21
36.9, 2.439, 100
37.3, 2.408, 29
38.1, 2.362, 27
67.0, 1.396, 17

# BaPdPt
Theoretical PXRD pattern, Cu Kα (weighted mean of Kα1 and Kα2). Input: a cell relaxed with PBE.
Neutral-atom scattering factors, no anomalous dispersion.

Crystal structure
Cell lengths 5.7161, 5.7161, 5.7161 Å; angles 120.83, 119.29, 89.90 degrees
Element x y z (fractional)
Ba 0.3726 0.1226 0.2500
Ba 0.6274 0.8774 0.7500
Pd 0.0000 0.5000 0.5000
Pd 0.5000 0.5000 0.0000
Pt 0.0000 0.0000 0.5000
Pt 0.0000 0.5000 0.0000

Peak list (10 most intense, 10° ≤ 2θ ≤ 90°, by angle)
two_theta, d/Å, I (rel.)
18.9, 4.702, 33
31.3, 2.858, 34
36.7, 2.451, 53
36.8, 2.444, 53
36.9, 2.433, 25
37.2, 2.420, 100
38.3, 2.351, 50
38.9, 2.315, 51
59.2, 1.561, 26
65.3, 1.429, 45